The following is a theoretical powder XRD pattern of TbDy6Sc6. It was derived from a crystal structure in Alexandria, relaxed with GGA-PBE, using CuKα.

Crystal structure
a = 6.303 Å, b = 11.330 Å, c = 10.706 Å
α = 90.00°, β = 90.00°, γ = 90.00°
Space group Cmmm (No. 65)
Asymmetric unit:
Tb: 0.000 0.000 0.000 [2 per cell]
Dy: 0.000 0.000 0.340 [4 per cell]
Dy: 0.000 0.310 0.000 [4 per cell]
Dy: 0.000 0.356 0.500 [4 per cell]
Sc: 0.000 0.500 0.216 [4 per cell]
Sc: 0.250 0.250 0.256 [8 per cell]

Most intense lines, 5 to 70 degrees two-theta, in order of rising 2θ:
two_theta  Rel. int.
16.56  264
27.53  1000
28.32  527
29.83  652
32.30  661
32.98  387
36.70  303
37.49  263
59.11  293
59.55  252